# 1
Starting from a crystal structure in the Materials Project, relaxed with PBE, the PXRD pattern of Ba3SiO was computed for λ = 1.5418 Å (Cu Kα).
Kinematic intensities with the Lorentz-polarization factor, no thermal factor.

Structural model:
a = 5.4238 Å, b = 5.4238 Å, c = 5.4238 Å
α = 90.00°, β = 90.00°, γ = 90.00°
Sites, in units of the cell vectors:
Ba1 0.0000 0.0000 0.5000
Ba2 0.0000 0.5000 0.0000
Ba3 0.5000 0.0000 0.0000
Si1 0.5000 0.5000 0.5000
O1 0.0000 0.0000 0.0000

Top 6 peaks for 2θ from 10° to 80°, by angle:
two_theta, Rel. int.
16.34, 24
28.50, 100
33.03, 60
47.41, 42
56.25, 44
78.94, 19

=====

# 2
Starting from a crystal structure in the Materials Project, relaxed with PBE, the PXRD pattern of BaGe3Pd was computed for λ = 1.5418 Å (Cu Kα).
Kinematic intensities with the Lorentz-polarization factor, no thermal factor.

Structural model:
a = 4.6030 Å, b = 4.6030 Å, c = 10.6366 Å
α = 90.00°, β = 90.00°, γ = 90.00°
Sites, in units of the cell vectors:
Ba1 0.0000 0.0000 0.0000
Ba2 0.5000 0.5000 0.5000
Ge1 0.0000 0.0000 0.3985
Ge2 0.0000 0.5000 0.2524
Ge3 0.0000 0.5000 0.7524
Ge4 0.5000 0.0000 0.2524
Ge5 0.5000 0.0000 0.7524
Ge6 0.5000 0.5000 0.8985
Pd1 0.0000 0.0000 0.6461
Pd2 0.5000 0.5000 0.1461

Top 6 peaks for 2θ from 10° to 80°, by angle:
two_theta, Rel. int.
27.40, 27
31.86, 89
32.25, 100
39.14, 82
51.32, 46
56.55, 28

=====

# 3
Starting from a crystal structure in the Materials Project, relaxed with PBE, the PXRD pattern of La2CuS4 was computed for λ = 1.5418 Å (Cu Kα).
Kinematic intensities with the Lorentz-polarization factor, no thermal factor.

Structural model:
a = 8.3766 Å, b = 8.3637 Å, c = 4.4447 Å
α = 74.76°, β = 74.44°, γ = 30.79°
Sites, in units of the cell vectors:
La1 0.1358 0.1358 0.8642
La2 0.8642 0.8642 0.1358
Cu1 0.5000 0.5000 0.5000
S1 0.0000 0.0000 0.5000
S2 0.3187 0.3187 0.6813
S3 0.5000 0.5000 0.0000
S4 0.6813 0.6813 0.3187

Top 6 peaks for 2θ from 10° to 80°, by angle:
two_theta, Rel. int.
26.44, 100
28.24, 47
28.56, 45
35.28, 52
36.68, 29
40.60, 66

=====

# 4
Starting from a crystal structure in the Materials Project, relaxed with PBE, the PXRD pattern of BaAuCl was computed for λ = 1.5418 Å (Cu Kα).
Kinematic intensities with the Lorentz-polarization factor, no thermal factor.

Structural model:
a = 7.4024 Å, b = 7.4024 Å, c = 7.4024 Å
α = 90.00°, β = 90.00°, γ = 90.00°
Sites, in units of the cell vectors:
Ba1 0.0000 0.0000 0.0000
Ba2 0.0000 0.5000 0.5000
Ba3 0.5000 0.0000 0.5000
Ba4 0.5000 0.5000 0.0000
Au1 0.0000 0.0000 0.5000
Au2 0.0000 0.5000 0.0000
Au3 0.5000 0.0000 0.0000
Au4 0.5000 0.5000 0.5000
Cl1 0.2500 0.2500 0.7500
Cl2 0.2500 0.7500 0.2500
Cl3 0.7500 0.2500 0.2500
Cl4 0.7500 0.7500 0.7500

Top 6 peaks for 2θ from 10° to 80°, by angle:
two_theta, Rel. int.
24.04, 78
34.26, 100
42.29, 24
49.24, 18
55.52, 34
61.35, 37

=====

# 5
Starting from a crystal structure in the Materials Project, relaxed with PBE, the PXRD pattern of Na3ZrSi6O18 was computed for λ = 1.5418 Å (Cu Kα).
Kinematic intensities with the Lorentz-polarization factor, no thermal factor.

Structural model:
a = 7.5663 Å, b = 7.5663 Å, c = 7.4917 Å
α = 93.70°, β = 93.70°, γ = 88.47°
Sites, in units of the cell vectors:
Na1 0.0000 0.0000 0.0000
Na2 0.0175 0.4859 0.4977
Na3 0.5141 0.9825 0.5023
Zr1 0.0062 0.9938 0.5000
Si1 0.2692 0.7152 0.7886
Si2 0.2848 0.7308 0.2114
Si3 0.2956 0.2887 0.7820
Si4 0.7113 0.7044 0.2180
Si5 0.7156 0.2531 0.7843
Si6 0.7469 0.2844 0.2157
O1 0.1041 0.8023 0.6733
O2 0.1744 0.1810 0.6288
O3 0.1977 0.8959 0.3267
O4 0.2062 0.5474 0.2712
O5 0.2337 0.7663 0.0000
O6 0.2460 0.2385 0.9818
O7 0.2616 0.5003 0.7529
O8 0.4526 0.7938 0.7288
O9 0.4997 0.7384 0.2471
O10 0.5025 0.2387 0.7413
O11 0.5765 0.1982 0.2981
O12 0.7580 0.2420 0.0000
O13 0.7613 0.4975 0.2587
O14 0.7615 0.7540 0.0182
O15 0.8018 0.4235 0.7019
O16 0.8134 0.0850 0.6834
O17 0.8190 0.8256 0.3712
O18 0.9150 0.1866 0.3166

Top 6 peaks for 2θ from 10° to 80°, by angle:
two_theta, Rel. int.
11.72, 45
16.17, 100
16.42, 46
26.16, 31
27.14, 42
32.67, 38